1.
Diffraction record for Na3VO4. The PXRD pattern is simulated, not measured: it uses a structure optimized by DFT (PBE+U) and Cu Kα X-rays.

```
data_Na3VO4
_chemical_formula_sum 'Na6 V2 O8'
_cell_length_a 7.1836
_cell_length_b 6.1517
_cell_length_c 5.6029
_cell_angle_alpha 90.00
_cell_angle_beta 90.00
_cell_angle_gamma 90.00
_space_group_name_H-M_alt 'P m n 21'
_space_group_IT_number 31
_space_group_name_Hall 'P 2ac -2'
loop_
_atom_site_label
_atom_site_fract_x
_atom_site_fract_y
_atom_site_fract_z
Na1 0.0000 0.1585 0.0000
Na2 0.2461 0.3264 0.5014
V1 0.0000 0.8267 0.5136
O1 0.0000 0.0976 0.4165
O2 0.0000 0.8223 0.8241
O3 0.2014 0.6924 0.4140
```

Peak list (8 most intense, 5° ≤ 2θ ≤ 70°, in order of falling intensity)
two_theta	d_spacing	Rel. int.	h k l
33.01	2.714	100.0	2 1 1
28.78	3.102	95.3	2 1 0
31.95	2.801	92.1	0 0 2
20.10	4.418	57.1	1 0 1
51.30	1.781	54.7	2 3 0
29.03	3.076	53.4	0 2 0
18.99	4.673	51.4	1 1 0
57.61	1.600	45.4	2 1 3

2.
Diffraction record for NaV6O13. The PXRD pattern is simulated, not measured: it uses a structure optimized by DFT (PBE+U) and Cu Kα X-rays.

```
data_NaV6O13
_chemical_formula_sum 'Na2 V12 O26'
_cell_length_a 3.7289
_cell_length_b 11.3225
_cell_length_c 11.9104
_cell_angle_alpha 110.96
_cell_angle_beta 90.01
_cell_angle_gamma 99.47
_space_group_name_H-M_alt 'P 1'
_space_group_IT_number 1
_space_group_name_Hall 'P 1'
loop_
_atom_site_label
_atom_site_fract_x
_atom_site_fract_y
_atom_site_fract_z
Na1 0.0000 0.0000 0.0000
Na2 0.3465 0.6972 0.4368
V1 0.0996 0.2052 0.4343
V2 0.1143 0.2408 0.7522
V3 0.2250 0.4577 0.6842
V4 0.2407 0.4938 0.0021
V5 0.4018 0.8014 0.7957
V6 0.4214 0.8405 0.1114
V7 0.5992 0.2054 0.2340
V8 0.6070 0.2250 0.9460
V9 0.7343 0.4743 0.4906
V10 0.7410 0.4940 0.2021
V11 0.9295 0.8584 0.3237
V12 0.9472 0.8975 0.6390
O1 0.0211 0.0435 0.3893
O2 0.0270 0.0595 0.6918
O3 0.1080 0.2254 0.2753
O4 0.1274 0.2603 0.6059
O5 0.1279 0.2660 0.9338
O6 0.2133 0.4334 0.5021
O7 0.2152 0.4385 0.8307
O8 0.2305 0.4742 0.1612
O9 0.3190 0.6394 0.7431
O10 0.3235 0.6556 0.0474
O11 0.4217 0.8401 0.9564
O12 0.4256 0.8506 0.2883
O13 0.4279 0.8554 0.6517
O14 0.5176 0.0428 0.1619
O15 0.5322 0.0676 0.9050
O16 0.6158 0.2430 0.7858
O17 0.6173 0.2424 0.4150
O18 0.6266 0.2665 0.1124
O19 0.7108 0.4349 0.3248
O20 0.7216 0.4558 0.0212
O21 0.7240 0.4557 0.6515
O22 0.8123 0.6322 0.5327
O23 0.8234 0.6568 0.2732
O24 0.9241 0.8448 0.7835
O25 0.9246 0.8488 0.1469
O26 0.9292 0.8576 0.4783
```

Peak list (8 most intense, 5° ≤ 2θ ≤ 70°, in order of falling intensity)
two_theta	d_spacing	Rel. int.	h k l
25.06	3.553	100.0	1 -1 1
25.68	3.469	66.5	0 3 0
33.24	2.695	62.1	1 0 -3
48.85	1.864	50.5	2 -1 0
45.71	1.985	40.4	0 2 -6
59.74	1.548	33.7	1 -3 7
43.47	2.082	32.5	0 5 0
17.04	5.204	32.0	0 2 0